Record 1
Computed XRD peak list of YGa9Co2 for Cu Kα, from a structure optimized by DFT (GGA-PBE).

Structural model:
```
YGa9Co2
1.0
-5.4466 5.4466 3.3012
5.4466 -5.4466 3.3012
5.4466 5.4466 -3.3012
Y Ga Co
2 18 4
direct
0.3750 0.6250 0.7500
0.6250 0.3750 0.2500
0.1191 0.5598 0.3204
0.1191 0.7987 0.5593
0.1250 0.8750 0.2500
0.2013 0.2606 0.3204
0.2013 0.8809 0.9407
0.2606 0.2013 0.8204
0.2606 0.4402 0.0593
0.4402 0.2606 0.5593
0.4402 0.8809 0.1796
0.5598 0.1191 0.8204
0.5598 0.7394 0.4407
0.7394 0.5598 0.9407
0.7394 0.7987 0.1796
0.7987 0.1191 0.0593
0.7987 0.7394 0.6796
0.8750 0.1250 0.7500
0.8809 0.2013 0.4407
0.8809 0.4402 0.6796
0.0000 0.0000 0.0000
0.0000 0.0000 0.5000
0.0000 0.5000 0.0000
0.5000 0.0000 0.5000
```

Principal peaks in the range 2θ from 10° to 90°, low angle first:
2θ (°)	intensity
32.59	25
36.90	56
37.74	100
41.88	26
43.75	81
45.21	18
46.32	27
67.04	23
77.10	15
78.54	14

Record 2
Computed XRD peak list of Y2Ga4Co3 for Cu Kα, from a structure optimized by DFT (GGA-PBE).

Structural model:
```
Y2Ga4Co3
1.0
0.0000 4.5672 6.2553
2.6241 0.0000 6.2553
2.6241 4.5672 0.0000
Y Ga Co
2 4 3
direct
0.1259 0.1259 0.8741
0.8741 0.8741 0.1259
0.1751 0.5166 0.4834
0.4834 0.8249 0.1751
0.5166 0.1751 0.8249
0.8249 0.4834 0.5166
0.0000 0.0000 0.5000
0.5000 0.5000 0.0000
0.5000 0.5000 0.5000
```

Principal peaks in the range 2θ from 10° to 90°, low angle first:
2θ (°)	intensity
34.17	30
34.80	41
40.51	100
41.17	18
42.27	23
43.40	18
45.10	34
62.83	15
65.48	23
71.67	16

Record 3
Computed XRD peak list of YGa2Co for Cu Kα, from a structure optimized by DFT (GGA-PBE).

Structural model:
```
YGa2Co
1.0
14.6334 0.0000 0.0000
0.0000 6.8247 0.0000
0.0000 0.0000 5.5735
Y Ga Co
8 16 8
direct
0.1024 0.2500 0.2433
0.1378 0.7500 0.4699
0.3622 0.2500 0.9699
0.3976 0.7500 0.7433
0.6024 0.2500 0.2567
0.6378 0.7500 0.0301
0.8622 0.2500 0.5301
0.8976 0.7500 0.7567
0.0422 0.0583 0.7585
0.0422 0.4417 0.7585
0.2116 0.5502 0.9523
0.2116 0.9498 0.9523
0.2884 0.0502 0.4523
0.2884 0.4498 0.4523
0.4578 0.5583 0.2585
0.4578 0.9417 0.2585
0.5422 0.0583 0.7415
0.5422 0.4417 0.7415
0.7116 0.5502 0.5477
0.7116 0.9498 0.5477
0.7884 0.0502 0.0477
0.7884 0.4498 0.0477
0.9578 0.5583 0.2415
0.9578 0.9417 0.2415
0.0711 0.7500 0.9944
0.1897 0.2500 0.7128
0.3103 0.7500 0.2128
0.4289 0.2500 0.4944
0.5711 0.7500 0.5056
0.6897 0.2500 0.7872
0.8103 0.7500 0.2872
0.9289 0.2500 0.0056
```

Principal peaks in the range 2θ from 10° to 90°, low angle first:
2θ (°)	intensity
33.13	26
34.44	25
35.97	86
36.94	100
39.56	31
40.37	41
43.73	33
44.78	30
46.39	23
47.03	23

Record 4
Computed XRD peak list of Y2Ga8Co for Cu Kα, from a structure optimized by DFT (GGA-PBE).

Structural model:
```
Y2Ga8Co
1.0
4.2428 0.0000 0.0000
0.0000 4.2428 0.0000
0.0000 0.0000 11.1358
Y Ga Co
2 8 1
direct
0.0000 0.0000 0.1949
0.0000 0.0000 0.8051
0.0000 0.5000 0.0000
0.0000 0.5000 0.3848
0.0000 0.5000 0.6152
0.5000 0.0000 0.0000
0.5000 0.0000 0.3848
0.5000 0.0000 0.6152
0.5000 0.5000 0.1941
0.5000 0.5000 0.8059
0.0000 0.0000 0.5000
```

Principal peaks in the range 2θ from 10° to 90°, low angle first:
2θ (°)	intensity
33.94	45
38.59	100
40.50	22
42.62	59
44.39	10
60.25	27
61.85	19
72.46	9
75.30	39
76.58	13

Record 5
Computed XRD peak list of Y5GaCo5 for Cu Kα, from a structure optimized by DFT (GGA-PBE).

Structural model:
```
Y5GaCo5
1.0
2.0297 -5.0957 0.0000
2.0297 5.0957 0.0000
0.0000 0.0000 20.5555
Y Ga Co
10 2 10
direct
0.0065 0.9935 0.6565
0.0065 0.9935 0.8435
0.2944 0.7056 0.5654
0.2941 0.7059 0.7500
0.2944 0.7056 0.9346
0.7056 0.2944 0.0654
0.7059 0.2941 0.2500
0.7056 0.2944 0.4346
0.9935 0.0065 0.1565
0.9935 0.0065 0.3435
0.0000 0.0000 0.0000
0.0000 0.0000 0.5000
0.2922 0.7078 0.1537
0.2922 0.7078 0.3463
0.4042 0.5958 0.2500
0.4164 0.5836 0.0587
0.4164 0.5836 0.4413
0.5836 0.4164 0.5587
0.5836 0.4164 0.9413
0.5958 0.4042 0.7500
0.7078 0.2922 0.6537
0.7078 0.2922 0.8463
```

Principal peaks in the range 2θ from 10° to 90°, low angle first:
2θ (°)	intensity
31.47	33
32.21	51
34.42	100
35.40	91
41.01	81
41.71	37
44.05	26
44.65	53
62.74	21
68.46	23

Record 6
Computed XRD peak list of YbGa8Co2 for Cu Kα, from a structure optimized by DFT (GGA-PBE).

Structural model:
```
YbGa8Co2
1.0
12.4156 0.0000 0.0000
0.0000 14.4078 0.0000
0.0000 0.0000 3.9728
Yb Ga Co
4 32 8
direct
0.1560 0.1805 0.0000
0.3440 0.6805 0.0000
0.6560 0.3195 0.0000
0.8440 0.8195 0.0000
0.0000 0.0000 0.0000
0.0000 0.5000 0.5000
0.0219 0.8661 0.5000
0.0497 0.3165 0.5000
0.1004 0.7451 0.0000
0.1617 0.4552 0.0000
0.1663 0.6215 0.5000
0.1695 0.0109 0.5000
0.2399 0.8235 0.5000
0.2601 0.3235 0.5000
0.3305 0.5109 0.5000
0.3337 0.1215 0.5000
0.3383 0.9552 0.0000
0.3996 0.2451 0.0000
0.4503 0.8165 0.5000
0.4781 0.3661 0.5000
0.5000 0.0000 0.5000
0.5000 0.5000 0.0000
0.5219 0.6339 0.5000
0.5497 0.1835 0.5000
0.6004 0.7549 0.0000
0.6617 0.0448 0.0000
0.6663 0.8785 0.5000
0.6695 0.4891 0.5000
0.7399 0.6765 0.5000
0.7601 0.1765 0.5000
0.8305 0.9891 0.5000
0.8337 0.3785 0.5000
0.8383 0.5448 0.0000
0.8996 0.2549 0.0000
0.9503 0.6835 0.5000
0.9781 0.1339 0.5000
0.0337 0.5936 0.0000
0.1524 0.9027 0.0000
0.3476 0.4027 0.0000
0.4663 0.0936 0.0000
0.5337 0.9064 0.0000
0.6524 0.5973 0.0000
0.8476 0.0973 0.0000
0.9663 0.4064 0.0000
```

Principal peaks in the range 2θ from 10° to 90°, low angle first:
2θ (°)	intensity
34.37	77
36.51	100
36.74	29
37.29	35
44.31	30
44.59	25
45.67	65
46.49	34
65.52	18
67.21	20

Record 7
Computed XRD peak list of ZnGa4Co for Cu Kα, from a structure optimized by DFT (GGA-PBE).

Structural model:
```
ZnGa4Co
1.0
4.8224 -4.9211 0.0000
4.8224 4.9211 0.0000
-2.7537 0.0000 4.3641
Zn Ga Co
2 8 2
direct
0.0021 0.9979 0.7500
0.9979 0.0021 0.2500
0.1759 0.3530 0.7656
0.2038 0.5820 0.3938
0.3530 0.1759 0.2656
0.4180 0.7962 0.1062
0.5820 0.2038 0.8938
0.6470 0.8241 0.7344
0.7962 0.4180 0.6062
0.8241 0.6470 0.2344
0.4999 0.5001 0.2500
0.5001 0.4999 0.7500
```

Principal peaks in the range 2θ from 10° to 90°, low angle first:
2θ (°)	intensity
14.10	30
18.03	35
29.35	100
39.43	33
41.41	56
41.80	87
42.17	77
42.93	42
45.50	69
48.31	50

Record 8
Computed XRD peak list of ZnGa11Co4 for Cu Kα, from a structure optimized by DFT (GGA-PBE).

Structural model:
```
ZnGa11Co4
1.0
6.2578 0.0000 0.0000
0.0000 6.3947 0.0000
-0.0099 0.0000 6.3130
Zn Ga Co
1 11 4
direct
0.0000 0.0000 0.0000
0.0000 0.5000 0.0000
0.1499 0.2374 0.3398
0.1499 0.7626 0.3398
0.3460 0.2532 0.8503
0.3460 0.7468 0.8503
0.5000 0.0000 0.5000
0.5000 0.5000 0.5000
0.6540 0.2532 0.1497
0.6540 0.7468 0.1497
0.8501 0.2374 0.6602
0.8501 0.7626 0.6602
0.1576 0.0000 0.6473
0.3447 0.5000 0.1559
0.6553 0.5000 0.8441
0.8424 0.0000 0.3527
```

Principal peaks in the range 2θ from 10° to 90°, low angle first:
2θ (°)	intensity
19.80	47
24.39	25
34.56	72
40.14	27
42.77	100
42.90	100
45.43	31
45.50	34
45.81	64
57.66	30

Record 9
Computed XRD peak list of Zr2Ga3Co4 for Cu Kα, from a structure optimized by DFT (GGA-PBE).

Structural model:
```
Zr2Ga3Co4
1.0
2.5798 -7.2543 0.0000
2.5798 7.2543 0.0000
0.0000 0.0000 6.9040
Zr Ga Co
4 6 8
direct
0.1029 0.8971 0.9121
0.3971 0.6029 0.4121
0.6029 0.3971 0.5879
0.8971 0.1029 0.0879
0.0000 0.0000 0.5000
0.0143 0.4857 0.7500
0.4857 0.0143 0.2500
0.5000 0.5000 0.0000
0.5143 0.9857 0.7500
0.9857 0.5143 0.2500
0.1707 0.8293 0.5145
0.1806 0.3194 0.7500
0.3194 0.1806 0.2500
0.3293 0.6707 0.0145
0.6707 0.3293 0.9855
0.6806 0.8194 0.7500
0.8194 0.6806 0.2500
0.8293 0.1707 0.4855
```

Principal peaks in the range 2θ from 10° to 90°, low angle first:
2θ (°)	intensity
36.41	28
37.88	94
39.30	46
39.49	18
41.15	43
43.02	22
43.81	100
45.82	39
64.40	19
77.34	28

Record 10
Computed XRD peak list of Zr3Ga3Co for Cu Kα, from a structure optimized by DFT (GGA-PBE).

Structural model:
```
Zr3Ga3Co
1.0
5.0651 -1.9607 0.0000
5.0651 1.9607 0.0000
-4.3630 0.0000 12.7042
Zr Ga Co
6 6 2
direct
0.0218 0.0218 0.3786
0.1086 0.1086 0.9242
0.2379 0.2379 0.2366
0.7621 0.7621 0.7634
0.8914 0.8914 0.0758
0.9782 0.9782 0.6214
0.3596 0.3596 0.4615
0.3842 0.3842 0.9238
0.4808 0.4808 0.7700
0.5192 0.5192 0.2300
0.6158 0.6158 0.0762
0.6404 0.6404 0.5385
0.2663 0.2663 0.6151
0.7337 0.7337 0.3849
```

Principal peaks in the range 2θ from 10° to 90°, low angle first:
2θ (°)	intensity
34.47	57
35.17	100
35.49	37
40.14	31
42.38	53
42.67	33
46.31	40
59.68	14
64.78	18
69.20	21

Record 11
Computed XRD peak list of ZrGa2Co3 for Cu Kα, from a structure optimized by DFT (GGA-PBE).

Structural model:
```
ZrGa2Co3
1.0
4.2184 0.0000 0.0000
-2.1092 3.6532 0.0000
0.0000 0.0000 10.3861
Zr Ga Co
2 4 6
direct
0.3333 0.6667 0.1716
0.6667 0.3333 0.8284
0.0000 0.0000 0.0000
0.0000 0.0000 0.5000
0.3333 0.6667 0.6652
0.6667 0.3333 0.3348
0.0000 0.0000 0.2657
0.0000 0.0000 0.7343
0.3333 0.6667 0.4250
0.3333 0.6667 0.9172
0.6667 0.3333 0.0828
0.6667 0.3333 0.5750
```

Principal peaks in the range 2θ from 10° to 90°, low angle first:
2θ (°)	intensity
25.85	1
29.90	5
35.73	2
42.72	98
42.88	100
62.13	31
70.36	1
78.13	14
78.45	30
78.56	15